Record 1
# Ti5NbP6O24
Computed PXRD pattern, Cu Kα (weighted mean of Kα1 and Kα2). Input: a crystal structure in the Materials Project, relaxed with PBE.
Lines closer than 0.1° are merged.

Largest 10 diffraction maxima, in order of rising 2θ, 15 to 90 degrees two-theta:
2θ 20.02, rel. 74
2θ 24.05, rel. 100
2θ 24.81, rel. 17
2θ 31.12, rel. 18
2θ 33.50, rel. 47
2θ 35.04, rel. 35
2θ 47.84, rel. 33
2θ 49.26, rel. 17
2θ 54.75, rel. 27
2θ 56.60, rel. 22

Cell and atoms:
```
36
Lattice="4.436 2.561 6.707 -4.436 2.561 6.707 0.000 -5.122 6.707" Properties=species:S:1:pos:R:3 pbc="T T T"
Ti 0.000 0.000 0.000
Ti 0.000 0.000 2.744
Ti 0.000 0.000 7.194
Ti 0.000 0.000 10.150
Ti 0.000 0.000 17.248
Nb 0.000 0.000 12.772
P -3.109 -0.309 8.355
P -1.337 -2.949 11.694
P 1.822 -2.538 8.355
P -1.886 2.633 11.694
P 1.287 2.847 8.355
P 3.223 0.317 11.694
O -0.731 -1.534 3.734
O -3.728 1.126 8.148
O -2.877 -2.734 11.904
O -0.894 -1.469 6.258
O -0.963 1.400 3.734
O -1.569 -0.117 8.577
O 0.889 -3.791 8.148
O -0.826 1.509 6.258
O 1.694 0.134 3.734
O -0.730 -1.507 11.480
O 0.885 -1.300 8.577
O -1.779 0.090 13.781
O 1.719 -0.039 6.258
O -0.940 1.386 11.480
O 0.683 1.417 8.577
O -1.708 -0.062 16.287
O 0.812 -1.586 13.781
O -0.929 3.859 11.904
O 1.671 0.121 11.480
O 0.908 -1.449 16.287
O 0.967 1.496 13.781
O 2.839 2.666 8.148
O 3.806 -1.125 11.904
O 0.801 1.510 16.287
```

***

Record 2
# NbTlP2O8
Computed PXRD pattern, Cu Kα (weighted mean of Kα1 and Kα2). Input: a crystal structure in the Materials Project, relaxed with PBE.
Lines closer than 0.1° are merged.

Largest 10 diffraction maxima, in order of rising 2θ, 15 to 90 degrees two-theta:
2θ 19.72, rel. 44
2θ 20.61, rel. 31
2θ 21.85, rel. 20
2θ 24.41, rel. 50
2θ 26.41, rel. 38
2θ 27.16, rel. 24
2θ 27.71, rel. 100
2θ 28.33, rel. 18
2θ 31.58, rel. 26
2θ 37.73, rel. 31

Cell and atoms:
```
48
Lattice="5.138 0.000 0.000 0.000 13.062 0.000 -4.386 0.000 11.393" Properties=species:S:1:pos:R:3 pbc="T T T"
Nb -0.816 0.945 3.386
Nb -3.009 5.587 9.083
Nb 3.761 7.476 2.310
Nb 1.568 12.118 8.007
Tl -2.959 1.542 11.128
Tl -0.766 4.989 5.431
Tl 1.519 8.073 5.962
Tl 3.711 11.520 0.265
P -1.093 1.141 6.991
P 1.099 5.390 1.294
P 1.230 9.794 2.384
P -0.963 9.800 8.080
P 1.715 3.263 3.313
P -0.478 3.269 9.009
P -0.347 7.672 10.099
P 1.846 11.921 4.402
O -0.405 0.676 1.687
O -2.597 5.855 7.383
O -1.426 1.335 5.537
O -3.619 5.196 11.233
O -2.267 0.647 7.869
O -0.074 5.884 2.172
O 0.200 8.695 2.718
O -1.993 10.899 8.415
O -1.383 8.755 7.101
O 0.810 10.839 1.404
O 0.363 2.593 3.681
O -1.830 3.938 9.377
O -0.730 2.619 7.529
O 1.462 3.912 1.833
O -1.573 6.775 9.868
O 0.620 12.819 4.171
O 0.132 0.244 7.222
O 2.325 6.288 1.525
O -0.710 9.150 9.560
O 1.483 10.443 3.864
O 2.582 9.124 2.016
O 0.389 10.469 7.713
O -0.058 2.224 9.989
O 2.135 4.308 4.292
O 2.745 2.163 2.978
O 0.552 4.368 8.675
O 0.826 7.178 9.221
O 3.019 12.415 3.524
O 4.371 7.866 0.160
O 2.178 11.727 5.857
O 3.350 7.207 4.010
O 1.157 12.387 9.706
```